Li6FeS4: simulated powder diffractogram (Cu Ka), based on the PBE geometry in the Materials Project.

Crystal structure
Unit cell a=8.0771 b=8.0771 c=6.2865 alpha=90.00 beta=90.00 gamma=120.00
Space group P6_3mc (No. 186)
Asymmetric unit:
Li1 0.0794 0.5397 0.0000 x6
Li2 0.1524 0.3047 0.6396 x6
Fe1 0.3333 0.6667 0.3663 x2
S1 0.1784 0.3567 0.2467 x6
S2 0.3333 0.6667 0.7327 x2

Principal peaks in the range 2θ from 10° to 80°, sorted by position:
(1 0 0), 2θ = 12.7°, intensity 73
(1 0 1), 2θ = 19.0°, intensity 100
(1 1 0), 2θ = 22.0°, intensity 35
(2 0 0), 2θ = 25.5°, intensity 74
(0 0 2), 2θ = 28.4°, intensity 38
(2 0 1), 2θ = 29.2°, intensity 64
(1 1 2), 2θ = 36.2°, intensity 23
(2 1 1), 2θ = 36.9°, intensity 37
(2 0 2), 2θ = 38.5°, intensity 37
(2 2 0), 2θ = 44.9°, intensity 77
(2 0 3), 2θ = 50.8°, intensity 53
(2 2 2), 2θ = 54.0°, intensity 32


LiFe2S4: simulated powder diffractogram (Cu Ka), based on the PBE geometry in the Materials Project.

Crystal structure
Unit cell a=9.718 b=9.718 c=9.718 alpha=90.00 beta=90.00 gamma=90.00
Space group Fd-3m (No. 227, origin choice 2)
Asymmetric unit:
Li1 0.125 0.125 0.125 x8
Fe1 0.000 0.000 0.500 x16
S1 0.014 0.014 0.736 x32

Principal peaks in the range 2θ from 10° to 80°, sorted by position:
(1 1 1), 2θ = 15.8°, intensity 100
(3 1 1), 2θ = 30.5°, intensity 34
(4 0 0), 2θ = 37.0°, intensity 86
(3 3 1), 2θ = 40.5°, intensity 4
(5 1 1), 2θ = 48.7°, intensity 27
(4 4 0), 2θ = 53.3°, intensity 55
(5 3 1), 2θ = 56.0°, intensity 17
(5 3 3), 2θ = 62.7°, intensity 4
(4 4 4), 2θ = 66.7°, intensity 15
(5 5 1), 2θ = 69.0°, intensity 11
(5 5 3), 2θ = 75.1°, intensity 6
(8 0 0), 2θ = 78.8°, intensity 7


LiFeS2: simulated powder diffractogram (Cu Ka), based on the PBE geometry in the Materials Project.

Crystal structure
Unit cell a=7.360 b=6.160 c=6.295 alpha=90.00 beta=111.57 gamma=90.00
Space group P2_1/c (No. 14)
Asymmetric unit:
Li1 0.118 0.102 0.338 x4
Fe1 0.389 0.664 0.343 x4
S1 0.162 0.737 0.498 x4
S2 0.394 0.193 0.800 x4

Principal peaks in the range 2θ from 10° to 80°, sorted by position:
(1 0 0), 2θ = 12.9°, intensity 100
(1 1 0), 2θ = 19.4°, intensity 49
(0 1 1), 2θ = 20.9°, intensity 12
(1 1 -1), 2θ = 21.5°, intensity 33
(2 1 -1), 2θ = 28.8°, intensity 20
(0 2 0), 2θ = 29.0°, intensity 41
(1 0 2), 2θ = 37.6°, intensity 36
(3 0 -2), 2θ = 40.2°, intensity 33
(1 1 2), 2θ = 40.5°, intensity 13
(1 3 -1), 2θ = 47.2°, intensity 16
(3 2 -2), 2θ = 50.3°, intensity 14
(2 3 -1), 2θ = 51.3°, intensity 14


Li3Fe2S4: simulated powder diffractogram (Cu Ka), based on the PBE geometry in the Materials Project.

Crystal structure
Unit cell a=6.144 b=10.279 c=9.855 alpha=90.00 beta=90.00 gamma=90.00
Space group Pnma (No. 62)
Asymmetric unit:
Li1 0.039 0.092 0.152 x8
Li2 0.098 0.250 0.764 x4
Fe1 0.049 0.126 0.473 x8
S1 0.141 0.750 0.673 x4
S2 0.175 0.750 0.048 x4
S3 0.187 0.551 0.366 x8

Principal peaks in the range 2θ from 10° to 80°, sorted by position:
(1 0 1), 2θ = 17.0°, intensity 100
(0 0 2), 2θ = 18.0°, intensity 34
(1 1 1), 2θ = 19.1°, intensity 9
(1 1 2), 2θ = 24.7°, intensity 9
(1 2 2), 2θ = 29.0°, intensity 30
(1 1 3), 2θ = 32.1°, intensity 21
(1 4 1), 2θ = 39.1°, intensity 19
(0 4 2), 2θ = 39.6°, intensity 9
(2 4 0), 2θ = 46.1°, intensity 13
(1 4 3), 2θ = 47.3°, intensity 23
(3 0 3), 2θ = 52.7°, intensity 9
(0 3 5), 2θ = 53.6°, intensity 15


Li2FeSnS4: simulated powder diffractogram (Cu Ka), based on the PBE geometry in the Materials Project.

Crystal structure
Unit cell a=6.458 b=6.851 c=10.242 alpha=90.00 beta=128.89 gamma=90.00
Space group Pc (No. 7)
Asymmetric unit:
Li1 0.000 0.160 0.000 x2
Li2 0.256 0.335 0.757 x2
Fe1 0.505 0.173 0.507 x2
Sn1 0.756 0.327 0.254 x2
S1 0.150 0.318 0.265 x2
S2 0.388 0.147 0.004 x2
S3 0.624 0.331 0.742 x2
S4 0.862 0.173 0.506 x2

Principal peaks in the range 2θ from 10° to 80°, sorted by position:
(0 1 1), 2θ = 17.1°, intensity 85
(1 0 -2), 2θ = 17.7°, intensity 100
(0 1 2), 2θ = 25.9°, intensity 58
(0 2 0), 2θ = 26.0°, intensity 36
(2 0 -2), 2θ = 27.6°, intensity 55
(1 1 1), 2θ = 29.4°, intensity 48
(2 1 -1), 2θ = 32.6°, intensity 31
(3 0 -4), 2θ = 43.5°, intensity 29
(0 0 4), 2θ = 45.5°, intensity 27
(0 3 2), 2θ = 45.8°, intensity 48
(3 1 -5), 2θ = 50.0°, intensity 46
(2 3 -4), 2θ = 54.3°, intensity 30


Li2VFeS4: simulated powder diffractogram (Cu Ka), based on the PBE geometry in the Materials Project.

Crystal structure
Unit cell a=3.3855 b=3.3855 c=11.9847 alpha=90.00 beta=90.00 gamma=120.00
Space group P-3m1 (No. 164)
Asymmetric unit:
Li1 0.0000 0.0000 0.2417 x2
V1 0.0000 0.0000 0.5000 x1
Fe1 0.0000 0.0000 0.0000 x1
S1 0.3333 0.6667 0.0995 x2
S2 0.3333 0.6667 0.6169 x2

Principal peaks in the range 2θ from 10° to 80°, sorted by position:
(0 0 2), 2θ = 14.8°, intensity 100
(0 0 3), 2θ = 22.3°, intensity 2
(1 0 0), 2θ = 30.5°, intensity 8
(0 1 2), 2θ = 34.0°, intensity 88
(0 1 4), 2θ = 43.2°, intensity 73
(1 1 0), 2θ = 54.2°, intensity 33
(1 0 6), 2θ = 55.7°, intensity 25
(1 1 2), 2θ = 56.5°, intensity 15
(0 0 8), 2θ = 61.9°, intensity 4
(2 0 2), 2θ = 65.6°, intensity 11
(1 0 8), 2θ = 70.6°, intensity 5
(2 0 4), 2θ = 71.7°, intensity 14


LuFe2: simulated powder diffractogram (Cu Ka), based on the PBE geometry in the Materials Project.

Crystal structure
Unit cell a=5.0644 b=5.0644 c=8.2406 alpha=90.00 beta=90.00 gamma=120.00
Space group P6_3/mmc (No. 194)
Asymmetric unit:
Lu1 0.3333 0.6667 0.0623 x4
Fe1 0.0000 0.0000 0.0000 x2
Fe2 0.1669 0.3339 0.7500 x6

Principal peaks in the range 2θ from 10° to 80°, sorted by position:
(1 0 0), 2θ = 20.2°, intensity 16
(1 0 2), 2θ = 29.8°, intensity 16
(1 1 0), 2θ = 35.4°, intensity 71
(1 0 3), 2θ = 38.7°, intensity 100
(2 0 0), 2θ = 41.2°, intensity 16
(1 1 2), 2θ = 41.9°, intensity 98
(2 0 1), 2θ = 42.7°, intensity 50
(1 0 5), 2θ = 60.0°, intensity 14
(2 1 3), 2θ = 65.8°, intensity 41
(3 0 2), 2θ = 68.0°, intensity 22
(2 0 5), 2θ = 71.6°, intensity 27
(2 2 0), 2θ = 75.0°, intensity 21


LuFe2: simulated powder diffractogram (Cu Ka), based on the PBE geometry in the Materials Project.

Crystal structure
Unit cell a=7.146 b=7.146 c=7.146 alpha=90.00 beta=90.00 gamma=90.00
Space group Fd-3m (No. 227, origin choice 2)
Asymmetric unit:
Lu1 0.125 0.125 0.125 x8
Fe1 0.000 0.000 0.500 x16

Principal peaks in the range 2θ from 10° to 80°, sorted by position:
(1 1 1), 2θ = 21.5°, intensity 21
(2 2 0), 2θ = 35.5°, intensity 72
(3 1 1), 2θ = 41.9°, intensity 100
(2 2 2), 2θ = 43.9°, intensity 12
(4 0 0), 2θ = 51.1°, intensity 2
(3 3 1), 2θ = 56.1°, intensity 6
(4 2 2), 2θ = 63.8°, intensity 27
(5 1 1), 2θ = 68.2°, intensity 30
(4 4 0), 2θ = 75.2°, intensity 22
(5 3 1), 2θ = 79.3°, intensity 5